[1]
Simulated X-ray powder pattern
Compound: Er2Al3Cu
Radiation: Cu Ka
Structure: a PBE-relaxed structure
Intensities are scaled so that the largest is 100.

The 10 most intense peaks (10 to 90 degrees two-theta), low angle first:
19.9 deg, I = 46; 20.4 deg, I = 35; 32.6 deg, I = 100; 33.3 deg, I = 56; 38.5 deg, I = 28; 38.8 deg, I = 95; 39.4 deg, I = 49; 58.7 deg, I = 23; 62.4 deg, I = 23; 62.8 deg, I = 25

Atomic structure:
Cell: 5.376 5.376 5.376 Å, 61.39 61.39 61.39°
Element x y z (fractional)
Er 0.124 0.124 0.124
Er 0.876 0.876 0.876
Al 0.000 0.500 0.500
Al 0.500 0.000 0.500
Al 0.500 0.500 0.000
Cu 0.500 0.500 0.500

[2]
Simulated X-ray powder pattern
Compound: Er6Al7Cu16
Radiation: Cu Ka
Structure: a PBE-relaxed structure
Intensities are scaled so that the largest is 100.

The 10 most intense peaks (10 to 90 degrees two-theta), low angle first:
25.2 deg, I = 67; 36.0 deg, I = 31; 38.2 deg, I = 98; 41.8 deg, I = 100; 44.4 deg, I = 20; 53.5 deg, I = 17; 62.1 deg, I = 17; 64.7 deg, I = 22; 77.7 deg, I = 17; 81.4 deg, I = 21

Atomic structure:
Cell: 8.648 8.648 8.648 Å, 60.00 60.00 60.00°
Element x y z (fractional)
Er 0.213 0.213 0.787
Er 0.213 0.787 0.213
Er 0.213 0.787 0.787
Er 0.787 0.213 0.213
Er 0.787 0.213 0.787
Er 0.787 0.787 0.213
Al 0.000 0.000 0.500
Al 0.000 0.500 0.000
Al 0.000 0.500 0.500
Al 0.500 0.000 0.000
Al 0.500 0.000 0.500
Al 0.500 0.500 0.000
Al 0.500 0.500 0.500
Cu 0.134 0.622 0.622
Cu 0.173 0.173 0.173
Cu 0.173 0.173 0.482
Cu 0.173 0.482 0.173
Cu 0.378 0.378 0.378
Cu 0.378 0.378 0.866
Cu 0.378 0.866 0.378
Cu 0.482 0.173 0.173
Cu 0.518 0.827 0.827
Cu 0.622 0.134 0.622
Cu 0.622 0.622 0.134
Cu 0.622 0.622 0.622
Cu 0.827 0.518 0.827
Cu 0.827 0.827 0.518
Cu 0.827 0.827 0.827
Cu 0.866 0.378 0.378

[3]
Simulated X-ray powder pattern
Compound: KAlCuF6
Radiation: Cu Ka
Structure: a PBE-relaxed structure
Intensities are scaled so that the largest is 100.

The 10 most intense peaks (10 to 90 degrees two-theta), low angle first:
15.3 deg, I = 100; 28.0 deg, I = 25; 29.7 deg, I = 96; 30.0 deg, I = 23; 30.7 deg, I = 54; 30.8 deg, I = 33; 46.9 deg, I = 27; 51.1 deg, I = 26; 52.4 deg, I = 27; 61.6 deg, I = 25

Atomic structure:
Cell: 6.737 7.154 9.954 Å, 90.00 90.00 90.00°
Element x y z (fractional)
K 0.013 0.250 0.119
K 0.487 0.750 0.619
K 0.513 0.250 0.381
K 0.987 0.750 0.881
Al 0.000 0.000 0.500
Al 0.000 0.500 0.500
Al 0.500 0.000 0.000
Al 0.500 0.500 0.000
Cu 0.187 0.250 0.762
Cu 0.313 0.750 0.262
Cu 0.687 0.250 0.738
Cu 0.813 0.750 0.238
F 0.064 0.250 0.485
F 0.072 0.750 0.164
F 0.116 0.507 0.666
F 0.116 0.993 0.666
F 0.238 0.555 0.425
F 0.238 0.945 0.425
F 0.262 0.055 0.925
F 0.262 0.445 0.925
F 0.384 0.007 0.166
F 0.384 0.493 0.166
F 0.428 0.250 0.664
F 0.436 0.750 0.985
F 0.564 0.250 0.015
F 0.572 0.750 0.336
F 0.616 0.507 0.834
F 0.616 0.993 0.834
F 0.738 0.555 0.075
F 0.738 0.945 0.075
F 0.762 0.055 0.575
F 0.762 0.445 0.575
F 0.884 0.007 0.334
F 0.884 0.493 0.334
F 0.928 0.250 0.836
F 0.936 0.750 0.515

[4]
Simulated X-ray powder pattern
Compound: K2AlCuF6
Radiation: Cu Ka
Structure: a PBE-relaxed structure
Intensities are scaled so that the largest is 100.

The 10 most intense peaks (10 to 90 degrees two-theta), low angle first:
21.6 deg, I = 19; 30.7 deg, I = 100; 36.2 deg, I = 15; 37.9 deg, I = 16; 44.0 deg, I = 69; 48.2 deg, I = 14; 54.6 deg, I = 33; 64.0 deg, I = 36; 72.6 deg, I = 18; 89.0 deg, I = 19

Atomic structure:
Cell: 5.821 5.821 5.821 Å, 60.00 60.00 60.00°
Element x y z (fractional)
K 0.250 0.250 0.250
K 0.750 0.750 0.750
Al 0.000 0.000 0.000
Cu 0.500 0.500 0.500
F 0.224 0.224 0.776
F 0.224 0.776 0.224
F 0.224 0.776 0.776
F 0.776 0.224 0.224
F 0.776 0.224 0.776
F 0.776 0.776 0.224